No. 1
Computed powder XRD pattern
Compound: Mg2Zn2SiPb
Radiation: copper Kα
Structure: a cell relaxed with GGA-PBE

Most intense lines, 10° ≤ 2θ ≤ 90°, by angle:
| two_theta | Rel. int. |
| --- | --- |
| 19.90 | 11 |
| 21.65 | 14 |
| 24.39 | 100 |
| 28.28 | 14 |
| 32.85 | 14 |
| 40.31 | 83 |
| 40.43 | 44 |
| 47.58 | 15 |
| 47.78 | 32 |
| 58.50 | 14 |
| 64.16 | 12 |
| 73.44 | 25 |

Cell and atoms:
```
data_Mg2Zn2SiPb
_chemical_formula_sum 'Mg8 Zn8 Si4 Pb4'
_cell_length_a 10.9440
_cell_length_b 4.4643
_cell_length_c 10.9497
_cell_angle_alpha 90.00
_cell_angle_beta 109.15
_cell_angle_gamma 90.00
_space_group_name_H-M_alt 'P 1 m 1'
_space_group_IT_number 6
_space_group_name_Hall 'P -2y'
loop_
_atom_site_label
_atom_site_type_symbol
_atom_site_fract_x
_atom_site_fract_y
_atom_site_fract_z
Mg1 Mg 0.0000 0.0000 0.0000
Mg2 Mg 0.0618 0.5000 0.3594
Mg3 Mg 0.1901 0.0000 0.7027
Mg4 Mg 0.3622 0.5000 0.1165
Mg5 Mg 0.4625 0.0000 0.4790
Mg6 Mg 0.5908 0.5000 0.8291
Mg7 Mg 0.7167 0.0000 0.2189
Mg8 Mg 0.8377 0.5000 0.5936
Zn1 Zn 0.1257 0.5000 0.1374
Zn2 Zn 0.1938 0.0000 0.4466
Zn3 Zn 0.3349 0.5000 0.8469
Zn4 Zn 0.4778 0.0000 0.2454
Zn5 Zn 0.5955 0.5000 0.5850
Zn6 Zn 0.7274 0.0000 0.9412
Zn7 Zn 0.8186 0.5000 0.3511
Zn8 Zn 0.9394 0.0000 0.7136
Si1 Si 0.2334 0.0000 0.2308
Si2 Si 0.5891 0.5000 0.3519
Si3 Si 0.7048 0.0000 0.7040
Si4 Si 0.9512 0.0000 0.4666
Pb1 Pb 0.0831 0.5000 0.8526
Pb2 Pb 0.3305 0.5000 0.5903
Pb3 Pb 0.4727 0.0000 0.9735
Pb4 Pb 0.8456 0.5000 0.0919
```

No. 2
Computed powder XRD pattern
Compound: Co7W8
Radiation: copper Kα
Structure: a cell relaxed with GGA-PBE

Most intense lines, 10° ≤ 2θ ≤ 90°, by angle:
| two_theta | Rel. int. |
| --- | --- |
| 21.84 | 38 |
| 34.74 | 28 |
| 39.16 | 19 |
| 40.90 | 100 |
| 41.70 | 51 |
| 42.14 | 58 |
| 42.92 | 75 |
| 45.02 | 66 |
| 46.17 | 22 |
| 48.66 | 23 |
| 67.19 | 21 |
| 71.61 | 41 |

Cell and atoms:
```
data_Co7W8
_chemical_formula_sum 'Co14 W16'
_cell_length_a 9.0979
_cell_length_b 9.0979
_cell_length_c 4.9262
_cell_angle_alpha 90.00
_cell_angle_beta 90.00
_cell_angle_gamma 90.00
_space_group_name_H-M_alt 'P 42/m n m'
_space_group_IT_number 136
_space_group_name_Hall '-P 4n 2n'
loop_
_atom_site_label
_atom_site_type_symbol
_atom_site_fract_x
_atom_site_fract_y
_atom_site_fract_z
Co1 Co 0.0000 0.0000 0.0000
Co2 Co 0.0696 0.2520 0.0000
Co3 Co 0.0945 0.0945 0.5000
W1 W 0.0389 0.3620 0.5000
W2 W 0.1804 0.8196 0.2493
```

No. 3
Computed powder XRD pattern
Compound: SmErZn2Sn2
Radiation: copper Kα
Structure: a cell relaxed with GGA-PBE

Most intense lines, 10° ≤ 2θ ≤ 90°, by angle:
| two_theta | Rel. int. |
| --- | --- |
| 22.67 | 8 |
| 28.37 | 15 |
| 32.16 | 100 |
| 39.81 | 60 |
| 45.94 | 7 |
| 46.40 | 12 |
| 52.06 | 26 |
| 62.37 | 17 |
| 67.48 | 24 |
| 72.26 | 11 |
| 85.82 | 7 |
| 89.99 | 7 |

Cell and atoms:
```
data_SmErZn2Sn2
_chemical_formula_sum 'Sm2 Er2 Zn4 Sn4'
_cell_length_a 4.5292
_cell_length_b 4.5292
_cell_length_c 15.8049
_cell_angle_alpha 90.00
_cell_angle_beta 90.00
_cell_angle_gamma 120.00
_space_group_name_H-M_alt 'P 63/m m c'
_space_group_IT_number 194
_space_group_name_Hall '-P 6c 2c'
loop_
_atom_site_label
_atom_site_type_symbol
_atom_site_fract_x
_atom_site_fract_y
_atom_site_fract_z
Sm1 Sm 0.0000 0.0000 0.2500
Er1 Er 0.0000 0.0000 0.0000
Zn1 Zn 0.3333 0.6667 0.1562
Sn1 Sn 0.3333 0.6667 0.6107
```

No. 4
Computed powder XRD pattern
Compound: ErU
Radiation: copper Kα
Structure: a cell relaxed with GGA-PBE

Most intense lines, 10° ≤ 2θ ≤ 90°, by angle:
| two_theta | Rel. int. |
| --- | --- |
| 31.32 | 32 |
| 32.29 | 24 |
| 36.01 | 100 |
| 45.60 | 19 |
| 57.58 | 17 |
| 58.84 | 25 |
| 65.35 | 4 |
| 67.02 | 22 |
| 69.81 | 15 |
| 74.79 | 5 |
| 76.36 | 4 |
| 86.93 | 9 |

Cell and atoms:
```
data_ErU
_chemical_formula_sum 'Er1 U1'
_cell_length_a 3.2016
_cell_length_b 3.2016
_cell_length_c 5.7115
_cell_angle_alpha 90.00
_cell_angle_beta 90.00
_cell_angle_gamma 120.00
_space_group_name_H-M_alt 'P -6 m 2'
_space_group_IT_number 187
_space_group_name_Hall 'P -6 2'
loop_
_atom_site_label
_atom_site_type_symbol
_atom_site_fract_x
_atom_site_fract_y
_atom_site_fract_z
Er1 Er 0.0000 0.0000 0.0000
U1 U 0.6667 0.3333 0.5000
```

No. 5
Computed powder XRD pattern
Compound: Zr2N
Radiation: copper Kα
Structure: a cell relaxed with GGA-PBE

Most intense lines, 10° ≤ 2θ ≤ 90°, by angle:
| two_theta | Rel. int. |
| --- | --- |
| 31.65 | 7 |
| 33.04 | 43 |
| 35.82 | 100 |
| 37.08 | 29 |
| 46.41 | 10 |
| 47.43 | 15 |
| 55.47 | 9 |
| 58.14 | 19 |
| 60.83 | 19 |
| 66.11 | 11 |
| 68.57 | 21 |
| 71.78 | 11 |

Cell and atoms:
```
data_Zr2N
_chemical_formula_sum 'Zr4 N2'
_cell_length_a 5.4219
_cell_length_b 5.4219
_cell_length_c 3.3129
_cell_angle_alpha 90.00
_cell_angle_beta 90.00
_cell_angle_gamma 90.00
_space_group_name_H-M_alt 'P 42/m n m'
_space_group_IT_number 136
_space_group_name_Hall '-P 4n 2n'
loop_
_atom_site_label
_atom_site_type_symbol
_atom_site_fract_x
_atom_site_fract_y
_atom_site_fract_z
Zr1 Zr 0.2040 0.2040 0.0000
N1 N 0.0000 0.0000 0.5000
```

No. 6
Computed powder XRD pattern
Compound: Zr2B2O5
Radiation: copper Kα
Structure: a cell relaxed with GGA-PBE

Most intense lines, 10° ≤ 2θ ≤ 90°, by angle:
| two_theta | Rel. int. |
| --- | --- |
| 24.20 | 100 |
| 31.07 | 16 |
| 34.49 | 40 |
| 39.77 | 80 |
| 47.10 | 87 |
| 49.58 | 46 |
| 55.91 | 21 |
| 59.68 | 12 |
| 65.36 | 36 |
| 70.24 | 11 |
| 72.74 | 13 |
| 85.73 | 16 |

Cell and atoms:
```
data_Zr2B2O5
_chemical_formula_sum 'Zr2 B2 O5'
_cell_length_a 3.6773
_cell_length_b 3.6773
_cell_length_c 5.7561
_cell_angle_alpha 90.00
_cell_angle_beta 90.00
_cell_angle_gamma 90.00
_space_group_name_H-M_alt 'P 4/m m m'
_space_group_IT_number 123
_space_group_name_Hall '-P 4 2'
loop_
_atom_site_label
_atom_site_type_symbol
_atom_site_fract_x
_atom_site_fract_y
_atom_site_fract_z
Zr1 Zr 0.0000 0.0000 0.0000
Zr2 Zr 0.0000 0.0000 0.5000
B1 B 0.5000 0.5000 0.2387
O1 O 0.0000 0.5000 0.2392
O2 O 0.5000 0.5000 0.5000
```

No. 7
Computed powder XRD pattern
Compound: TbAuSeO
Radiation: copper Kα
Structure: a cell relaxed with GGA-PBE

Most intense lines, 10° ≤ 2θ ≤ 90°, by angle:
| two_theta | Rel. int. |
| --- | --- |
| 18.57 | 52 |
| 28.01 | 42 |
| 29.16 | 97 |
| 31.68 | 100 |
| 33.15 | 95 |
| 36.08 | 64 |
| 37.04 | 68 |
| 42.80 | 44 |
| 46.51 | 80 |
| 49.52 | 38 |
| 50.06 | 33 |
| 58.29 | 34 |

Cell and atoms:
```
data_TbAuSeO
_chemical_formula_sum 'Tb4 Au4 Se4 O4'
_cell_length_a 5.6330
_cell_length_b 5.6494
_cell_length_c 9.5559
_cell_angle_alpha 90.00
_cell_angle_beta 90.00
_cell_angle_gamma 90.00
_space_group_name_H-M_alt 'P b a 2'
_space_group_IT_number 32
_space_group_name_Hall 'P 2 -2ab'
loop_
_atom_site_label
_atom_site_type_symbol
_atom_site_fract_x
_atom_site_fract_y
_atom_site_fract_z
Tb1 Tb 0.0000 0.0000 0.0000
Tb2 Tb 0.0000 0.5000 0.2314
Au1 Au 0.2495 0.0125 0.6162
Se1 Se 0.0000 0.0000 0.3942
Se2 Se 0.0000 0.5000 0.8377
O1 O 0.2502 0.2496 0.1156
```

No. 8
Computed powder XRD pattern
Compound: CsHgPdF5
Radiation: copper Kα
Structure: a cell relaxed with GGA-PBE

Most intense lines, 10° ≤ 2θ ≤ 90°, by angle:
| two_theta | Rel. int. |
| --- | --- |
| 16.34 | 24 |
| 24.74 | 18 |
| 27.84 | 30 |
| 28.02 | 100 |
| 28.33 | 54 |
| 29.10 | 45 |
| 31.63 | 51 |
| 33.02 | 47 |
| 45.40 | 18 |
| 49.80 | 26 |
| 50.74 | 62 |
| 57.92 | 19 |

Cell and atoms:
```
data_CsHgPdF5
_chemical_formula_sum 'Cs4 Hg4 Pd4 F20'
_cell_length_a 6.3305
_cell_length_b 7.8658
_cell_length_c 10.5271
_cell_angle_alpha 90.00
_cell_angle_beta 90.00
_cell_angle_gamma 90.00
_space_group_name_H-M_alt 'I m m a'
_space_group_IT_number 74
_space_group_name_Hall '-I 2b 2'
loop_
_atom_site_label
_atom_site_type_symbol
_atom_site_fract_x
_atom_site_fract_y
_atom_site_fract_z
Cs1 Cs 0.0000 0.2500 0.1133
Hg1 Hg 0.0000 0.0000 0.5000
Pd1 Pd 0.2500 0.2500 0.7500
F1 F 0.0000 0.2500 0.3901
F2 F 0.2124 0.0724 0.8800
```

No. 9
Computed powder XRD pattern
Compound: K2PdF6
Radiation: copper Kα
Structure: a cell relaxed with GGA-PBE

Most intense lines, 10° ≤ 2θ ≤ 90°, by angle:
| two_theta | Rel. int. |
| --- | --- |
| 18.60 | 18 |
| 20.01 | 33 |
| 21.15 | 100 |
| 27.45 | 38 |
| 32.52 | 56 |
| 35.72 | 44 |
| 38.48 | 32 |
| 43.06 | 56 |
| 49.07 | 38 |
| 51.75 | 18 |
| 60.11 | 19 |
| 68.10 | 21 |

Cell and atoms:
```
data_K2PdF6
_chemical_formula_sum 'K4 Pd2 F12'
_cell_length_a 5.5073
_cell_length_b 5.5073
_cell_length_c 8.8746
_cell_angle_alpha 90.00
_cell_angle_beta 90.00
_cell_angle_gamma 120.00
_space_group_name_H-M_alt 'P 63 m c'
_space_group_IT_number 186
_space_group_name_Hall 'P 6c -2c'
loop_
_atom_site_label
_atom_site_type_symbol
_atom_site_fract_x
_atom_site_fract_y
_atom_site_fract_z
K1 K 0.0000 0.0000 0.0000
K2 K 0.3333 0.6667 0.2377
Pd1 Pd 0.3333 0.6667 0.8575
F1 F 0.0031 0.5016 0.9835
F2 F 0.1628 0.3256 0.7397
```

No. 10
Computed powder XRD pattern
Compound: BaCu2OsSe4
Radiation: copper Kα
Structure: a cell relaxed with GGA-PBE

Most intense lines, 10° ≤ 2θ ≤ 90°, by angle:
| two_theta | Rel. int. |
| --- | --- |
| 15.48 | 39 |
| 17.56 | 46 |
| 22.61 | 100 |
| 26.89 | 33 |
| 27.01 | 50 |
| 29.30 | 60 |
| 35.44 | 37 |
| 35.57 | 52 |
| 36.81 | 35 |
| 48.35 | 26 |
| 49.00 | 42 |
| 54.36 | 30 |

Cell and atoms:
```
data_BaCu2OsSe4
_chemical_formula_sum 'Ba4 Cu8 Os4 Se16'
_cell_length_a 10.8037
_cell_length_b 11.4171
_cell_length_c 6.6320
_cell_angle_alpha 90.00
_cell_angle_beta 90.00
_cell_angle_gamma 90.00
_space_group_name_H-M_alt 'A m a 2'
_space_group_IT_number 40
_space_group_name_Hall 'A 2 -2a'
loop_
_atom_site_label
_atom_site_type_symbol
_atom_site_fract_x
_atom_site_fract_y
_atom_site_fract_z
Ba1 Ba 0.0000 0.0000 0.0000
Cu1 Cu 0.1212 0.2198 0.3898
Os1 Os 0.2500 0.3610 0.8835
Se1 Se 0.0841 0.2486 0.7468
Se2 Se 0.2500 0.0592 0.2746
Se3 Se 0.2500 0.3789 0.2413
```

No. 11
Computed powder XRD pattern
Compound: BiPt5
Radiation: copper Kα
Structure: a cell relaxed with GGA-PBE

Most intense lines, 10° ≤ 2θ ≤ 90°, by angle:
| two_theta | Rel. int. |
| --- | --- |
| 37.46 | 93 |
| 37.58 | 58 |
| 38.69 | 37 |
| 41.14 | 100 |
| 43.48 | 59 |
| 50.03 | 34 |
| 57.88 | 22 |
| 66.68 | 16 |
| 68.36 | 38 |
| 73.41 | 26 |
| 80.57 | 18 |
| 85.46 | 15 |

Cell and atoms:
```
data_BiPt5
_chemical_formula_sum 'Bi2 Pt10'
_cell_length_a 3.1882
_cell_length_b 3.6491
_cell_length_c 30.2197
_cell_angle_alpha 90.00
_cell_angle_beta 90.00
_cell_angle_gamma 90.00
_space_group_name_H-M_alt 'P m m n'
_space_group_IT_number 59
loop_
_space_group_symop_operation_xyz
'x,y,z'
'-x,-y,-z'
'-x+1/2,-y+1/2,z'
'x+1/2,y+1/2,-z'
'x+1/2,-y,-z'
'-x+1/2,y,z'
'-x,y+1/2,-z'
'x,-y+1/2,z'
loop_
_atom_site_label
_atom_site_type_symbol
_atom_site_fract_x
_atom_site_fract_y
_atom_site_fract_z
Bi1 Bi 0.2500 0.2500 0.2429
Pt1 Pt 0.2500 0.2500 0.3415
Pt2 Pt 0.2500 0.2500 0.4319
Pt3 Pt 0.2500 0.2500 0.5224
Pt4 Pt 0.2500 0.2500 0.6132
Pt5 Pt 0.2500 0.2500 0.7066
```

No. 12
Computed powder XRD pattern
Compound: Ga3Co
Radiation: copper Kα
Structure: a cell relaxed with GGA-PBE

Most intense lines, 10° ≤ 2θ ≤ 90°, by angle:
| two_theta | Rel. int. |
| --- | --- |
| 19.76 | 22 |
| 24.40 | 14 |
| 32.01 | 18 |
| 34.38 | 38 |
| 40.14 | 23 |
| 42.77 | 100 |
| 45.91 | 56 |
| 57.01 | 16 |
| 66.93 | 12 |
| 68.34 | 11 |
| 76.09 | 23 |
| 89.77 | 16 |

Cell and atoms:
```
data_Ga3Co
_chemical_formula_sum 'Ga12 Co4'
_cell_length_a 6.2512
_cell_length_b 6.2512
_cell_length_c 6.4617
_cell_angle_alpha 90.00
_cell_angle_beta 90.00
_cell_angle_gamma 90.00
_space_group_name_H-M_alt 'P -4 n 2'
_space_group_IT_number 118
_space_group_name_Hall 'P -4 -2n'
loop_
_atom_site_label
_atom_site_type_symbol
_atom_site_fract_x
_atom_site_fract_y
_atom_site_fract_z
Ga1 Ga 0.0000 0.0000 0.2461
Ga2 Ga 0.1502 0.3460 0.4941
Co1 Co 0.1545 0.6545 0.2500
```

Please write out number 4 again, unchanged.
Computed powder XRD pattern
Compound: ErU
Radiation: copper Kα
Structure: a cell relaxed with GGA-PBE

Most intense lines, 10° ≤ 2θ ≤ 90°, by angle:
| two_theta | Rel. int. |
| --- | --- |
| 31.32 | 32 |
| 32.29 | 24 |
| 36.01 | 100 |
| 45.60 | 19 |
| 57.58 | 17 |
| 58.84 | 25 |
| 65.35 | 4 |
| 67.02 | 22 |
| 69.81 | 15 |
| 74.79 | 5 |
| 76.36 | 4 |
| 86.93 | 9 |

Cell and atoms:
```
data_ErU
_chemical_formula_sum 'Er1 U1'
_cell_length_a 3.2016
_cell_length_b 3.2016
_cell_length_c 5.7115
_cell_angle_alpha 90.00
_cell_angle_beta 90.00
_cell_angle_gamma 120.00
_space_group_name_H-M_alt 'P -6 m 2'
_space_group_IT_number 187
_space_group_name_Hall 'P -6 2'
loop_
_atom_site_label
_atom_site_type_symbol
_atom_site_fract_x
_atom_site_fract_y
_atom_site_fract_z
Er1 Er 0.0000 0.0000 0.0000
U1 U 0.6667 0.3333 0.5000
```